Starting from a DFT-relaxed cell (PBE, the Materials Project), the powder XRD pattern of GdPPt was computed for Cu Kα (λ = 1.5418 Å).

Crystal structure
```
data_GdPPt
_chemical_formula_sum 'Gd1 P1 Pt1'
_cell_length_a 4.1562
_cell_length_b 4.1562
_cell_length_c 3.9469
_cell_angle_alpha 90.00
_cell_angle_beta 90.00
_cell_angle_gamma 120.00
_space_group_name_H-M_alt 'P -6 m 2'
_space_group_IT_number 187
_space_group_name_Hall 'P -6 2'
loop_
_atom_site_label
_atom_site_fract_x
_atom_site_fract_y
_atom_site_fract_z
Gd1 0.0000 0.0000 0.0000
P1 0.6667 0.3333 0.5000
Pt1 0.3333 0.6667 0.5000
```

The 12 most intense peaks (2θ = 10–80°), low angle first:
two_theta	I/Imax	hkl
24.7	25	1 0 0
33.7	100	1 0 1
43.6	39	1 1 0
46.0	11	0 0 2
50.7	4	2 0 0
52.9	7	1 0 2
56.2	24	2 0 1
65.2	24	1 1 2
69.0	3	2 1 0
73.7	21	2 1 1
77.2	9	1 0 3
80.0	7	3 0 0

Starting from a DFT-relaxed cell (PBE, the Materials Project), the powder XRD pattern of Gd5P12Ru19 was computed for Cu Kα (λ = 1.5418 Å).

Crystal structure
```
data_Gd5P12Ru19
_chemical_formula_sum 'Gd5 P12 Ru19'
_cell_length_a 12.5698
_cell_length_b 12.5698
_cell_length_c 3.9932
_cell_angle_alpha 90.00
_cell_angle_beta 90.00
_cell_angle_gamma 120.00
_space_group_name_H-M_alt 'P -6 2 m'
_space_group_IT_number 189
_space_group_name_Hall 'P -6 -2'
loop_
_atom_site_label
_atom_site_fract_x
_atom_site_fract_y
_atom_site_fract_z
Gd1 0.0000 0.8167 0.0000
Gd2 0.3333 0.6667 0.5000
P1 0.0000 0.1853 0.5000
P2 0.0000 0.6265 0.5000
P3 0.1719 0.4774 0.0000
Ru1 0.0000 0.0000 0.5000
Ru2 0.0000 0.2838 0.0000
Ru3 0.0000 0.4454 0.5000
Ru4 0.1250 0.6336 0.0000
Ru5 0.1847 0.3774 0.5000
```

The 12 most intense peaks (2θ = 10–80°), low angle first:
two_theta	I/Imax	hkl
28.4	17	2 2 0
36.4	100	2 2 1
37.3	25	3 1 1
37.9	12	4 1 0
45.4	23	0 0 2
46.4	9	5 1 0
47.6	7	5 0 1
50.3	14	6 0 0
69.3	8	7 1 1
70.1	10	6 0 2
75.3	7	7 2 1
77.9	13	2 2 3

Starting from a DFT-relaxed cell (PBE, the Materials Project), the powder XRD pattern of GdPS4 was computed for Cu Kα (λ = 1.5418 Å).

Crystal structure
```
data_GdPS4
_chemical_formula_sum 'Gd16 P16 S64'
_cell_length_a 10.807
_cell_length_b 10.807
_cell_length_c 19.218
_cell_angle_alpha 90.00
_cell_angle_beta 90.00
_cell_angle_gamma 90.00
_space_group_name_H-M_alt 'I 41/a c d'
_space_group_IT_number 142
loop_
_space_group_symop_operation_xyz
'x,y,z'
'-x,-y,-z'
'-y+1/4,x+3/4,z+1/4'
'y+1/4,-x+3/4,-z+1/4'
'-x+1/2,-y,z+1/2'
'x+1/2,y,-z+1/2'
'y+1/4,-x+1/4,z+3/4'
'-y+1/4,x+1/4,-z+3/4'
'x,-y,-z+1/2'
'-x,y,z+1/2'
'-y+1/4,-x+1/4,-z+1/4'
'y+1/4,x+1/4,z+1/4'
'-x+1/2,y,-z'
'x+1/2,-y,z'
'y+1/4,x+3/4,-z+3/4'
'-y+1/4,-x+3/4,z+3/4'
'x+1/2,y+1/2,z+1/2'
'-x+1/2,-y+1/2,-z+1/2'
'-y+3/4,x+1/4,z+3/4'
'y+3/4,-x+1/4,-z+3/4'
'-x,-y+1/2,z'
'x,y+1/2,-z'
'y+3/4,-x+3/4,z+1/4'
'-y+3/4,x+3/4,-z+1/4'
'x+1/2,-y+1/2,-z'
'-x+1/2,y+1/2,z'
'-y+3/4,-x+3/4,-z+3/4'
'y+3/4,x+3/4,z+3/4'
'-x,y+1/2,-z+1/2'
'x,-y+1/2,z+1/2'
'y+3/4,x+1/4,-z+1/4'
'-y+3/4,-x+1/4,z+1/4'
loop_
_atom_site_label
_atom_site_fract_x
_atom_site_fract_y
_atom_site_fract_z
Gd1 0.000 0.250 0.125
Gd2 0.000 0.250 0.375
P1 0.038 0.000 0.250
S1 0.068 0.004 0.838
S2 0.089 0.112 0.003
```

The 12 most intense peaks (2θ = 10–80°), low angle first:
two_theta	I/Imax	hkl
16.4	100	2 0 0
18.5	14	0 0 4
24.8	65	2 0 4
29.9	54	2 2 4
33.2	19	4 0 0
37.2	36	4 2 0
37.4	15	0 0 8
38.2	43	4 0 4
41.1	24	2 0 8
41.8	52	4 2 4
53.8	17	4 2 8
57.2	18	6 2 4

Starting from a DFT-relaxed cell (PBE, the Materials Project), the powder XRD pattern of GdPaRu2 was computed for Cu Kα (λ = 1.5418 Å).

Crystal structure
```
data_GdPaRu2
_chemical_formula_sum 'Gd4 Pa4 Ru8'
_cell_length_a 6.869
_cell_length_b 6.869
_cell_length_c 6.869
_cell_angle_alpha 90.00
_cell_angle_beta 90.00
_cell_angle_gamma 90.00
_space_group_name_H-M_alt 'F m -3 m'
_space_group_IT_number 225
_space_group_name_Hall '-F 4 2 3'
loop_
_atom_site_label
_atom_site_fract_x
_atom_site_fract_y
_atom_site_fract_z
Gd1 0.000 0.000 0.000
Pa1 0.000 0.000 0.500
Ru1 0.250 0.250 0.250
```

The 11 most intense peaks (2θ = 10–80°), low angle first:
two_theta	I/Imax	hkl
22.4	3	1 1 1
25.9	11	2 0 0
37.0	100	2 2 0
43.7	2	3 1 1
45.8	3	2 2 2
53.3	18	4 0 0
58.6	1	3 3 1
60.3	5	4 2 0
66.7	36	4 2 2
71.3	1	5 1 1
78.8	11	4 4 0

Starting from a DFT-relaxed cell (PBE, the Materials Project), the powder XRD pattern of GdPaTc2 was computed for Cu Kα (λ = 1.5418 Å).

Crystal structure
```
data_GdPaTc2
_chemical_formula_sum 'Gd4 Pa4 Tc8'
_cell_length_a 6.878
_cell_length_b 6.878
_cell_length_c 6.878
_cell_angle_alpha 90.00
_cell_angle_beta 90.00
_cell_angle_gamma 90.00
_space_group_name_H-M_alt 'F m -3 m'
_space_group_IT_number 225
_space_group_name_Hall '-F 4 2 3'
loop_
_atom_site_label
_atom_site_fract_x
_atom_site_fract_y
_atom_site_fract_z
Gd1 0.000 0.000 0.000
Pa1 0.000 0.000 0.500
Tc1 0.250 0.250 0.250
```

The 11 most intense peaks (2θ = 10–80°), low angle first:
two_theta	I/Imax	hkl
22.4	3	1 1 1
25.9	11	2 0 0
37.0	100	2 2 0
43.6	2	3 1 1
45.7	4	2 2 2
53.3	18	4 0 0
58.5	1	3 3 1
60.2	5	4 2 0
66.6	36	4 2 2
71.2	1	5 1 1
78.7	11	4 4 0

Starting from a DFT-relaxed cell (PBE, the Materials Project), the powder XRD pattern of Gd5Pb3 was computed for Cu Kα (λ = 1.5418 Å).

Crystal structure
```
data_Gd5Pb3
_chemical_formula_sum 'Gd10 Pb6'
_cell_length_a 9.2017
_cell_length_b 9.2017
_cell_length_c 6.7461
_cell_angle_alpha 90.00
_cell_angle_beta 90.00
_cell_angle_gamma 120.00
_space_group_name_H-M_alt 'P 63/m c m'
_space_group_IT_number 193
_space_group_name_Hall '-P 6c 2'
loop_
_atom_site_label
_atom_site_fract_x
_atom_site_fract_y
_atom_site_fract_z
Gd1 0.0000 0.2392 0.2500
Gd2 0.3333 0.6667 0.0000
Pb1 0.0000 0.3954 0.7500
```

The 12 most intense peaks (2θ = 10–80°), low angle first:
two_theta	I/Imax	hkl
26.4	24	0 0 2
29.7	24	2 1 0
32.6	100	2 1 1
32.9	71	1 1 2
33.7	39	3 0 0
34.8	12	2 0 2
43.1	19	3 1 1
47.9	15	2 2 2
50.7	29	2 1 3
57.3	12	2 2 3
64.7	22	5 0 2
65.6	12	3 0 4

Starting from a DFT-relaxed cell (PBE, the Materials Project), the powder XRD pattern of GdPb3 was computed for Cu Kα (λ = 1.5418 Å).

Crystal structure
```
data_GdPb3
_chemical_formula_sum 'Gd1 Pb3'
_cell_length_a 4.917
_cell_length_b 4.917
_cell_length_c 4.917
_cell_angle_alpha 90.00
_cell_angle_beta 90.00
_cell_angle_gamma 90.00
_space_group_name_H-M_alt 'P m -3 m'
_space_group_IT_number 221
_space_group_name_Hall '-P 4 2 3'
loop_
_atom_site_label
_atom_site_fract_x
_atom_site_fract_y
_atom_site_fract_z
Gd1 0.000 0.000 0.000
Pb1 0.000 0.500 0.500
```

The 10 most intense peaks (2θ = 10–80°), low angle first:
two_theta	I/Imax	hkl
18.0	1	1 0 0
25.6	1	1 1 0
31.5	100	1 1 1
36.6	51	2 0 0
41.0	1	2 1 0
45.2	1	2 1 1
52.7	36	2 2 0
62.7	44	3 1 1
65.8	13	2 2 2
77.7	6	4 0 0

Starting from a DFT-relaxed cell (PBE, the Materials Project), the powder XRD pattern of Gd2PbS4 was computed for Cu Kα (λ = 1.5418 Å).

Crystal structure
```
data_Gd2PbS4
_chemical_formula_sum 'Gd8 Pb4 S16'
_cell_length_a 8.593
_cell_length_b 8.593
_cell_length_c 8.547
_cell_angle_alpha 90.00
_cell_angle_beta 90.00
_cell_angle_gamma 90.00
_space_group_name_H-M_alt 'I -4 2 d'
_space_group_IT_number 122
_space_group_name_Hall 'I -4 2bw'
loop_
_atom_site_label
_atom_site_fract_x
_atom_site_fract_y
_atom_site_fract_z
Gd1 0.131 0.750 0.125
Pb1 0.000 0.000 0.500
S1 0.073 0.672 0.436
```

The 12 most intense peaks (2θ = 10–80°), low angle first:
two_theta	I/Imax	hkl
25.4	100	1 1 2
29.4	9	2 2 0
33.0	52	3 0 1
33.1	28	1 0 3
39.3	37	3 1 2
39.4	12	2 1 3
47.3	22	4 2 0
47.5	14	2 0 4
49.9	24	3 2 3
54.5	14	4 3 1
54.6	14	4 1 3
67.2	22	6 1 1

Starting from a DFT-relaxed cell (PBE, the Materials Project), the powder XRD pattern of Gd3Pd2 was computed for Cu Kα (λ = 1.5418 Å).

Crystal structure
```
data_Gd3Pd2
_chemical_formula_sum 'Gd6 Pd4'
_cell_length_a 7.910
_cell_length_b 7.910
_cell_length_c 3.961
_cell_angle_alpha 90.00
_cell_angle_beta 90.00
_cell_angle_gamma 90.00
_space_group_name_H-M_alt 'P 4/m b m'
_space_group_IT_number 127
_space_group_name_Hall '-P 4 2ab'
loop_
_atom_site_label
_atom_site_fract_x
_atom_site_fract_y
_atom_site_fract_z
Gd1 0.000 0.000 0.000
Gd2 0.165 0.335 0.500
Pd1 0.131 0.631 0.000
```

The 12 most intense peaks (2θ = 10–80°), low angle first:
two_theta	I/Imax	hkl
27.6	10	1 1 1
32.0	41	2 0 1
34.0	100	2 1 1
35.9	51	3 1 0
45.8	20	0 0 2
47.4	10	4 1 0
53.0	13	4 1 1
54.4	9	3 3 1
59.5	25	3 1 2
64.5	10	5 1 1
68.1	19	5 2 1
77.1	9	2 1 3

Starting from a DFT-relaxed cell (PBE, the Materials Project), the powder XRD pattern of GdPd2Pt was computed for Cu Kα (λ = 1.5418 Å).

Crystal structure
```
data_GdPd2Pt
_chemical_formula_sum 'Gd1 Pd2 Pt1'
_cell_length_a 4.160
_cell_length_b 4.160
_cell_length_c 4.134
_cell_angle_alpha 90.00
_cell_angle_beta 90.00
_cell_angle_gamma 90.00
_space_group_name_H-M_alt 'P 4/m m m'
_space_group_IT_number 123
_space_group_name_Hall '-P 4 2'
loop_
_atom_site_label
_atom_site_fract_x
_atom_site_fract_y
_atom_site_fract_z
Gd1 0.000 0.000 0.000
Pd1 0.000 0.500 0.500
Pt1 0.500 0.500 0.000
```

The 12 most intense peaks (2θ = 10–80°), low angle first:
two_theta	I/Imax	hkl
21.5	5	0 0 1
30.4	5	1 1 0
37.5	100	1 1 1
43.5	33	2 0 0
43.8	16	0 0 2
49.0	3	2 0 1
54.2	2	1 1 2
63.2	11	2 2 0
63.4	21	2 0 2
67.6	1	2 2 1
75.9	25	3 1 1
76.3	13	1 1 3

Starting from a DFT-relaxed cell (PBE, the Materials Project), the powder XRD pattern of Gd2PdRh was computed for Cu Kα (λ = 1.5418 Å).

Crystal structure
```
data_Gd2PdRh
_chemical_formula_sum 'Gd8 Pd4 Rh4'
_cell_length_a 7.030
_cell_length_b 7.030
_cell_length_c 7.030
_cell_angle_alpha 90.00
_cell_angle_beta 90.00
_cell_angle_gamma 90.00
_space_group_name_H-M_alt 'F m -3 m'
_space_group_IT_number 225
_space_group_name_Hall '-F 4 2 3'
loop_
_atom_site_label
_atom_site_fract_x
_atom_site_fract_y
_atom_site_fract_z
Gd1 0.250 0.250 0.250
Pd1 0.000 0.000 0.000
Rh1 0.000 0.000 0.500
```

The 7 most intense peaks (2θ = 10–80°), low angle first:
two_theta	I/Imax	hkl
25.3	4	2 0 0
36.1	100	2 2 0
44.6	1	2 2 2
52.0	18	4 0 0
58.7	2	4 2 0
65.0	36	4 2 2
76.7	11	4 4 0

Starting from a DFT-relaxed cell (PBE, the Materials Project), the powder XRD pattern of GdSnPd2 was computed for Cu Kα (λ = 1.5418 Å).

Crystal structure
```
data_GdSnPd2
_chemical_formula_sum 'Gd4 Sn4 Pd8'
_cell_length_a 6.843
_cell_length_b 6.843
_cell_length_c 6.843
_cell_angle_alpha 90.00
_cell_angle_beta 90.00
_cell_angle_gamma 90.00
_space_group_name_H-M_alt 'F m -3 m'
_space_group_IT_number 225
_space_group_name_Hall '-F 4 2 3'
loop_
_atom_site_label
_atom_site_fract_x
_atom_site_fract_y
_atom_site_fract_z
Gd1 0.000 0.000 0.000
Sn1 0.000 0.000 0.500
Pd1 0.250 0.250 0.250
```

The 9 most intense peaks (2θ = 10–80°), low angle first:
two_theta	I/Imax	hkl
22.5	1	1 1 1
26.0	2	2 0 0
37.2	100	2 2 0
43.9	1	3 1 1
45.9	1	2 2 2
53.6	17	4 0 0
60.5	1	4 2 0
67.0	36	4 2 2
79.2	11	4 4 0

What is the formula in the eleventh record?
Gd2PdRh